Starting from a structure optimized by DFT (PBE), the X-ray powder pattern of RbSr3 was simulated for Cu Ka.

Principal peaks in the range 10° ≤ 2θ ≤ 80°, by angle:
2θ 24.68, I 100
2θ 28.58, I 52
2θ 40.86, I 39
2θ 48.32, I 47
2θ 65.08, I 19
2θ 66.99, I 18

Crystal structure
Unit cell a=6.247 b=6.247 c=6.247 alpha=90.00 beta=90.00 gamma=90.00
Fractional positions:
Rb: 0.000 0.000 0.000
Sr: 0.000 0.500 0.500
Sr: 0.500 0.000 0.500
Sr: 0.500 0.500 0.000

---

Starting from a structure optimized by DFT (PBE), the X-ray powder pattern of RbSr3 was simulated for Cu Ka.

Principal peaks in the range 10° ≤ 2θ ≤ 80°, by angle:
2θ 25.36, I 100
2θ 36.16, I 20
2θ 44.69, I 43
2θ 52.07, I 14
2θ 58.78, I 19
2θ 71.00, I 21

Crystal structure
Unit cell a=7.025 b=7.025 c=7.025 alpha=60.00 beta=60.00 gamma=60.00
Fractional positions:
Rb: 0.000 0.000 0.000
Sr: 0.250 0.250 0.250
Sr: 0.500 0.500 0.500
Sr: 0.750 0.750 0.750

---

Starting from a structure optimized by DFT (PBE), the X-ray powder pattern of Rb3Tb was simulated for Cu Ka.

Principal peaks in the range 10° ≤ 2θ ≤ 80°, by angle:
2θ 24.04, I 100
2θ 26.19, I 20
2θ 28.61, I 32
2θ 39.18, I 27
2θ 44.93, I 18
2θ 48.01, I 30

Crystal structure
Unit cell a=8.110 b=8.110 c=8.110 alpha=134.75 beta=134.75 gamma=65.91
Fractional positions:
Rb: 0.000 0.000 0.000
Rb: 0.250 0.750 0.500
Rb: 0.750 0.250 0.500
Tb: 0.500 0.500 0.000

---

Starting from a structure optimized by DFT (PBE), the X-ray powder pattern of Rb3Tb was simulated for Cu Ka.

Principal peaks in the range 10° ≤ 2θ ≤ 80°, by angle:
2θ 24.52, I 100
2θ 34.95, I 20
2θ 43.16, I 44
2θ 50.26, I 14
2θ 56.70, I 19
2θ 68.36, I 22

Crystal structure
Unit cell a=7.261 b=7.261 c=7.261 alpha=60.00 beta=60.00 gamma=60.00
Fractional positions:
Rb: 0.000 0.000 0.000
Rb: 0.250 0.250 0.250
Rb: 0.750 0.750 0.750
Tb: 0.500 0.500 0.500

---

Starting from a structure optimized by DFT (PBE), the X-ray powder pattern of Rb2Te3 was simulated for Cu Ka.

Principal peaks in the range 10° ≤ 2θ ≤ 80°, by angle:
2θ 16.22, I 29
2θ 27.26, I 100
2θ 30.10, I 81
2θ 32.78, I 29
2θ 38.24, I 23
2θ 51.22, I 32

Crystal structure
Unit cell a=16.276 b=10.929 c=4.730 alpha=90.00 beta=90.00 gamma=90.00
Fractional positions:
Rb: 0.124 0.030 0.222
Rb: 0.124 0.470 0.222
Rb: 0.376 0.530 0.722
Rb: 0.376 0.970 0.722
Rb: 0.624 0.030 0.278
Rb: 0.624 0.470 0.278
Rb: 0.876 0.530 0.778
Rb: 0.876 0.970 0.778
Te: 0.015 0.250 0.700
Te: 0.124 0.750 0.678
Te: 0.241 0.250 0.788
Te: 0.259 0.750 0.288
Te: 0.376 0.250 0.178
Te: 0.485 0.750 0.200
Te: 0.515 0.250 0.800
Te: 0.624 0.750 0.822
Te: 0.741 0.250 0.712
Te: 0.759 0.750 0.212
Te: 0.876 0.250 0.322
Te: 0.985 0.750 0.300

---

Starting from a structure optimized by DFT (PBE), the X-ray powder pattern of RbTe was simulated for Cu Ka.

Principal peaks in the range 10° ≤ 2θ ≤ 80°, by angle:
2θ 18.29, I 100
2θ 30.08, I 85
2θ 35.43, I 56
2θ 47.14, I 25
2θ 53.41, I 33
2θ 56.94, I 19

Crystal structure
Unit cell a=5.942 b=5.942 c=5.942 alpha=60.00 beta=60.00 gamma=60.00
Fractional positions:
Rb: 0.000 0.000 0.000
Te: 0.750 0.750 0.750